Diffraction record for Rb2LiTc2O8. The X-ray diffraction stick pattern is simulated, not measured: it uses the GGA-PBE geometry in Alexandria and Cu Kα X-rays.

Crystal structure
```
data_Rb2LiTc2O8
_chemical_formula_sum 'Rb2 Li1 Tc2 O8'
_cell_length_a 5.7581
_cell_length_b 6.4675
_cell_length_c 7.8300
_cell_angle_alpha 108.88
_cell_angle_beta 105.56
_cell_angle_gamma 102.20
_symmetry_space_group_name_H-M 'P 1'
_symmetry_Int_Tables_number 1
_symmetry_space_group_name_Hall 'P 1'
loop_
_atom_site_label
_atom_site_type_symbol
_atom_site_fract_x
_atom_site_fract_y
_atom_site_fract_z
Rb1 Rb 0.0000 0.0000 0.0000
Rb2 Rb 0.2120 0.8803 0.5432
Li1 Li 0.3915 0.4194 0.4305
Tc1 Tc 0.4787 0.5582 0.0595
Tc2 Tc 0.8058 0.2944 0.5325
O1 O 0.0586 0.3331 0.4425
O2 O 0.3340 0.6829 0.9116
O3 O 0.3372 0.5461 0.2323
O4 O 0.4456 0.2747 0.9171
O5 O 0.4956 0.1359 0.3483
O6 O 0.7594 0.5669 0.6321
O7 O 0.8026 0.7217 0.1805
O8 O 0.8527 0.1403 0.6802
```

The 10 most intense peaks (10° ≤ 2θ ≤ 90°), sorted by position:
(1 0 -1), 17.12 deg, I = 138
(1 -1 1), 22.80 deg, I = 1000
(0 0 2), 25.82 deg, I = 366
(1 1 0), 26.42 deg, I = 363
(1 1 -2), 26.92 deg, I = 406
(0 2 -1), 28.24 deg, I = 221
(1 -2 0), 30.03 deg, I = 136
(2 0 -1), 31.80 deg, I = 200
(1 -1 3), 43.75 deg, I = 125
(1 1 -4), 46.54 deg, I = 138

---

Diffraction record for Li7N2Cl. The X-ray diffraction stick pattern is simulated, not measured: it uses the GGA-PBE geometry in Alexandria and Cu Kα X-rays.

Crystal structure
```
data_Li7N2Cl
_chemical_formula_sum 'Li21 N6 Cl3'
_cell_length_a 3.6503
_cell_length_b 3.6503
_cell_length_c 31.6193
_cell_angle_alpha 90.00
_cell_angle_beta 90.00
_cell_angle_gamma 120.00
_symmetry_space_group_name_H-M 'R -3 m'
_symmetry_Int_Tables_number 166
_symmetry_space_group_name_Hall '-R 3 2"'
loop_
_atom_site_label
_atom_site_type_symbol
_atom_site_fract_x
_atom_site_fract_y
_atom_site_fract_z
Li1 Li 0.0000 0.0000 0.0000
Li2 Li 0.0000 0.0000 0.1228
Li3 Li 0.0000 0.0000 0.2784
Li4 Li 0.0000 0.0000 0.4002
N1 N 0.0000 0.0000 0.0615
Cl1 Cl 0.0000 0.0000 0.5000
```

The 10 most intense peaks (10° ≤ 2θ ≤ 90°), sorted by position:
(0 0 9), 25.35 deg, I = 730
(0 1 2), 28.80 deg, I = 1000
(1 0 4), 30.45 deg, I = 269
(0 1 5), 31.64 deg, I = 530
(1 0 7), 34.63 deg, I = 245
(0 1 11), 42.51 deg, I = 219
(0 1 14), 49.61 deg, I = 180
(1 1 0), 49.97 deg, I = 570
(1 1 9), 56.85 deg, I = 304
(1 1 18), 75.05 deg, I = 175

---

Diffraction record for ThIn2Se3. The X-ray diffraction stick pattern is simulated, not measured: it uses the GGA-PBE geometry in Alexandria and Cu Kα X-rays.

Crystal structure
```
data_ThIn2Se3
_chemical_formula_sum 'Th4 In8 Se12'
_cell_length_a 7.6672
_cell_length_b 12.9984
_cell_length_c 8.0108
_cell_angle_alpha 90.00
_cell_angle_beta 107.39
_cell_angle_gamma 90.00
_symmetry_space_group_name_H-M 'C 1 2/m 1'
_symmetry_Int_Tables_number 12
_symmetry_space_group_name_Hall '-C 2y'
loop_
_atom_site_label
_atom_site_type_symbol
_atom_site_fract_x
_atom_site_fract_y
_atom_site_fract_z
Th1 Th 0.0000 0.1686 0.0000
In1 In 0.0000 0.0000 0.5000
In2 In 0.0000 0.3442 0.5000
In3 In 0.0000 0.5000 0.0000
Se1 Se 0.2030 0.0000 0.2081
Se2 Se 0.2390 0.1852 0.7746
```

The 10 most intense peaks (10° ≤ 2θ ≤ 90°), sorted by position:
(0 0 1), 11.58 deg, I = 124
(1 3 -1), 24.93 deg, I = 101
(2 0 -2), 28.22 deg, I = 1000
(2 0 2), 38.83 deg, I = 131
(1 3 -3), 39.69 deg, I = 257
(3 3 -1), 41.01 deg, I = 232
(0 6 0), 41.69 deg, I = 110
(0 0 4), 47.58 deg, I = 70
(2 6 -2), 51.14 deg, I = 114
(2 6 2), 58.28 deg, I = 69

---

Diffraction record for CoNi4Ge. The X-ray diffraction stick pattern is simulated, not measured: it uses the GGA-PBE geometry in Alexandria and Cu Kα X-rays.

Crystal structure
```
data_CoNi4Ge
_chemical_formula_sum 'Co4 Ni16 Ge4'
_cell_length_a 4.2142
_cell_length_b 15.5157
_cell_length_c 4.2153
_cell_angle_alpha 90.00
_cell_angle_beta 90.00
_cell_angle_gamma 90.00
_symmetry_space_group_name_H-M 'I m m a'
_symmetry_Int_Tables_number 74
_symmetry_space_group_name_Hall '-I 2b 2'
loop_
_atom_site_label
_atom_site_type_symbol
_atom_site_fract_x
_atom_site_fract_y
_atom_site_fract_z
Co1 Co 0.0000 0.0000 0.0000
Ni1 Ni 0.0000 0.0794 0.4967
Ni2 Ni 0.0000 0.1669 0.9958
Ge1 Ge 0.0000 0.2500 0.4965
```

The 7 most intense peaks (10° ≤ 2θ ≤ 90°), sorted by position:
(1 4 1), 38.08 deg, I = 7
(2 0 0), 42.92 deg, I = 642
(1 6 1), 46.49 deg, I = 1000
(2 0 2), 62.31 deg, I = 197
(0 12 0), 73.20 deg, I = 58
(3 6 1), 81.19 deg, I = 348
(2 12 0), 88.78 deg, I = 137

---

Diffraction record for Pu2AlZn7. The X-ray diffraction stick pattern is simulated, not measured: it uses the GGA-PBE geometry in Alexandria and Cu Kα X-rays.

Crystal structure
```
data_Pu2AlZn7
_chemical_formula_sum 'Pu2 Al1 Zn7'
_cell_length_a 4.1275
_cell_length_b 4.1275
_cell_length_c 11.0148
_cell_angle_alpha 90.00
_cell_angle_beta 90.00
_cell_angle_gamma 90.00
_symmetry_space_group_name_H-M 'P -4 m 2'
_symmetry_Int_Tables_number 115
_symmetry_space_group_name_Hall 'P -4 -2'
loop_
_atom_site_label
_atom_site_type_symbol
_atom_site_fract_x
_atom_site_fract_y
_atom_site_fract_z
Pu1 Pu 0.0000 0.5000 0.2487
Al1 Al 0.0000 0.0000 0.5000
Zn1 Zn 0.0000 0.0000 0.0000
Zn2 Zn 0.0000 0.5000 0.6380
Zn3 Zn 0.0000 0.5000 0.8624
Zn4 Zn 0.5000 0.5000 0.0000
Zn5 Zn 0.5000 0.5000 0.5000
```

The 10 most intense peaks (10° ≤ 2θ ≤ 90°), sorted by position:
(0 0 2), 16.09 deg, I = 194
(1 0 1), 23.01 deg, I = 304
(1 1 0), 30.63 deg, I = 319
(1 0 3), 32.64 deg, I = 789
(1 1 2), 34.79 deg, I = 1000
(2 0 0), 43.87 deg, I = 456
(1 0 5), 46.74 deg, I = 415
(2 1 3), 55.72 deg, I = 442
(2 1 5), 66.03 deg, I = 293
(3 1 2), 74.74 deg, I = 216

---

Diffraction record for LiTmZrCo. The X-ray diffraction stick pattern is simulated, not measured: it uses the GGA-PBE geometry in Alexandria and Cu Kα X-rays.

Crystal structure
```
data_LiTmZrCo
_chemical_formula_sum 'Li4 Tm4 Zr4 Co4'
_cell_length_a 6.6126
_cell_length_b 6.6126
_cell_length_c 6.6126
_cell_angle_alpha 90.00
_cell_angle_beta 90.00
_cell_angle_gamma 90.00
_symmetry_space_group_name_H-M 'F -4 3 m'
_symmetry_Int_Tables_number 216
_symmetry_space_group_name_Hall 'F -4 2 3'
loop_
_atom_site_label
_atom_site_type_symbol
_atom_site_fract_x
_atom_site_fract_y
_atom_site_fract_z
Li1 Li 0.0000 0.0000 0.0000
Tm1 Tm 0.2500 0.2500 0.7500
Zr1 Zr 0.2500 0.2500 0.2500
Co1 Co 0.0000 0.0000 0.5000
```

The 10 most intense peaks (10° ≤ 2θ ≤ 90°), sorted by position:
(1 1 1), 23.30 deg, I = 197
(2 0 0), 26.97 deg, I = 446
(2 2 0), 38.51 deg, I = 1000
(3 1 1), 45.49 deg, I = 104
(2 2 2), 47.64 deg, I = 128
(4 0 0), 55.59 deg, I = 169
(4 2 0), 62.85 deg, I = 170
(4 2 2), 69.66 deg, I = 337
(4 4 0), 82.52 deg, I = 106
(6 0 0), 88.77 deg, I = 88